No. 1
Simulated powder XRD pattern of HfSnH for Cu Kα, 1.54184 Å, from a GGA-PBE-relaxed structure.
Peak positions follow from Bragg's law for the DFT cell and can differ from measured ones.

Structural model:
abc: 20.119 3.202 6.302
angles: 90.00 99.19 90.00
Space group C2/m (No. 12)
Inequivalent atoms, fractional coordinates:
Hf 0.182 0.000 0.087 [4 per cell]
Hf 0.182 0.000 0.594 [4 per cell]
Sn 0.055 0.000 0.774 [4 per cell]
Sn 0.080 0.500 0.288 [4 per cell]
H 0.248 0.500 0.126 [4 per cell]
H 0.250 0.000 0.376 [4 per cell]

The 10 most intense peaks (5° ≤ 2θ ≤ 70°), sorted by position:
hkl, 2theta, d (Å), I/Imax
2 0 0, 8.91, 9.930, 31.6
3 1 0, 31.02, 2.883, 48.4
2 0 2, 31.44, 2.845, 100.0
3 1 -1, 33.33, 2.688, 23.0
5 1 0, 36.03, 2.493, 59.8
8 0 0, 36.18, 2.483, 56.6
6 0 -2, 36.34, 2.472, 36.3
4 0 2, 36.45, 2.465, 33.0
1 1 -2, 40.15, 2.246, 37.4
3 1 -2, 41.21, 2.191, 40.9

No. 2
Simulated powder XRD pattern of Hf3TaH7 for Cu Kα, 1.54184 Å, from a GGA-PBE-relaxed structure.
Peak positions follow from Bragg's law for the DFT cell and can differ from measured ones.

Structural model:
abc: 8.047 6.947 7.040
angles: 90.00 90.00 90.00
Space group Cmcm (No. 63)
Inequivalent atoms, fractional coordinates:
Hf 0.000 0.000 0.000 [4 per cell]
Hf 0.249 0.250 0.250 [8 per cell]
Ta 0.000 0.500 0.000 [4 per cell]
H 0.000 0.381 0.750 [4 per cell]
H 0.124 0.257 0.001 [16 per cell]
H 0.125 0.000 0.250 [8 per cell]

The 9 most intense peaks (5° ≤ 2θ ≤ 70°), sorted by position:
hkl, 2theta, d (Å), I/Imax
2 0 2, 33.84, 2.649, 100.0
2 2 0, 34.10, 2.629, 98.4
0 2 2, 36.34, 2.472, 81.0
4 0 0, 45.07, 2.012, 22.5
0 0 4, 51.96, 1.760, 15.4
0 4 0, 52.70, 1.737, 14.7
4 2 2, 59.21, 1.560, 41.4
2 2 4, 63.62, 1.463, 33.0
2 4 2, 64.11, 1.453, 32.3

No. 3
Simulated powder XRD pattern of Hf3TaH6 for Cu Kα, 1.54184 Å, from a GGA-PBE-relaxed structure.
Peak positions follow from Bragg's law for the DFT cell and can differ from measured ones.

Structural model:
abc: 8.2057 8.2057 10.0785
angles: 90.00 90.00 120.00
Space group R-3 (No. 148, hexagonal axes)
Inequivalent atoms, fractional coordinates:
Hf 0.0002 0.2509 0.2502 [18 per cell]
Ta 0.0000 0.0000 0.0000 [3 per cell]
Ta 0.0000 0.0000 0.5000 [3 per cell]
H 0.0033 0.1535 0.8548 [18 per cell]
H 0.0500 0.2461 0.4447 [18 per cell]

The 10 most intense peaks (5° ≤ 2θ ≤ 70°), sorted by position:
hkl, 2theta, d (Å), I/Imax
2 0 2, 30.79, 2.904, 34.5
2 -1 3, 34.53, 2.597, 100.0
3 0 0, 37.95, 2.371, 78.5
0 0 6, 54.64, 1.680, 2.3
0 4 2, 54.79, 1.676, 6.7
3 -2 5, 57.13, 1.612, 12.1
3 2 1, 57.24, 1.609, 12.3
1 1 6, 59.51, 1.553, 22.0
2 3 2, 59.61, 1.551, 21.4
4 0 4, 64.14, 1.452, 17.2

No. 4
Simulated powder XRD pattern of HfTa2H2 for Cu Kα, 1.54184 Å, from a GGA-PBE-relaxed structure.
Peak positions follow from Bragg's law for the DFT cell and can differ from measured ones.

Structural model:
abc: 7.968 8.012 5.602
angles: 90.00 134.33 90.00
Space group C2/c (No. 15)
Inequivalent atoms, fractional coordinates:
Hf 0.000 0.114 0.250 [4 per cell]
Ta 0.000 0.500 0.000 [4 per cell]
Ta 0.250 0.250 0.000 [4 per cell]
H 0.193 0.307 0.607 [8 per cell]

The 10 most intense peaks (5° ≤ 2θ ≤ 70°), sorted by position:
hkl, 2theta, d (Å), I/Imax
0 2 1, 31.63, 2.829, 57.7
1 1 1, 37.04, 2.427, 53.2
3 1 -1, 37.20, 2.417, 100.0
1 3 -1, 37.30, 2.411, 65.2
1 1 -2, 37.41, 2.404, 59.5
3 1 -2, 37.58, 2.393, 58.2
2 2 0, 38.78, 2.322, 81.3
2 2 -2, 39.25, 2.296, 58.8
0 4 2, 65.94, 1.417, 32.7
4 4 -2, 66.17, 1.412, 32.3

No. 5
Simulated powder XRD pattern of HfTcH for Cu Kα, 1.54184 Å, from a GGA-PBE-relaxed structure.
Peak positions follow from Bragg's law for the DFT cell and can differ from measured ones.

Structural model:
abc: 2.897 2.897 18.695
angles: 90.00 90.00 90.00
Space group I4/mmm (No. 139)
Inequivalent atoms, fractional coordinates:
Hf 0.000 0.000 0.178 [4 per cell]
Tc 0.000 0.000 0.440 [4 per cell]
H 0.000 0.000 0.289 [4 per cell]

The 10 most intense peaks (5° ≤ 2θ ≤ 70°), sorted by position:
hkl, 2theta, d (Å), I/Imax
0 0 2, 9.46, 9.347, 12.1
0 0 6, 28.65, 3.116, 7.9
1 0 3, 34.13, 2.627, 100.0
0 0 8, 38.53, 2.337, 25.5
1 0 5, 39.35, 2.290, 39.7
1 1 0, 44.21, 2.048, 40.9
1 0 7, 46.23, 1.964, 8.4
1 1 8, 60.06, 1.540, 27.7
1 0 11, 63.46, 1.466, 18.2
2 0 0, 64.31, 1.448, 13.3

No. 6
Simulated powder XRD pattern of Hf5Tc2H12 for Cu Kα, 1.54184 Å, from a GGA-PBE-relaxed structure.
Peak positions follow from Bragg's law for the DFT cell and can differ from measured ones.

Structural model:
abc: 9.853 5.461 6.517
angles: 90.00 100.68 90.00
Space group C2/m (No. 12)
Inequivalent atoms, fractional coordinates:
Hf 0.000 0.000 0.000 [2 per cell]
Hf 0.158 0.500 0.870 [4 per cell]
Hf 0.220 0.500 0.338 [4 per cell]
Tc 0.000 0.234 0.500 [4 per cell]
H 0.019 0.500 0.335 [4 per cell]
H 0.064 0.000 0.340 [4 per cell]
H 0.171 0.234 0.099 [8 per cell]
H 0.180 0.308 0.602 [8 per cell]

The 10 most intense peaks (5° ≤ 2θ ≤ 70°), sorted by position:
hkl, 2theta, d (Å), I/Imax
1 1 -2, 32.24, 2.777, 100.0
0 2 0, 32.80, 2.731, 17.7
3 1 -1, 33.03, 2.712, 26.4
0 2 1, 35.75, 2.512, 11.1
2 0 2, 36.40, 2.468, 26.9
2 2 0, 37.83, 2.378, 12.1
2 2 1, 41.70, 2.166, 13.0
1 3 -2, 58.19, 1.585, 15.3
4 2 -3, 62.48, 1.487, 11.2
6 2 -1, 66.56, 1.405, 10.8

No. 7
Simulated powder XRD pattern of Hf2TeH for Cu Kα, 1.54184 Å, from a GGA-PBE-relaxed structure.
Peak positions follow from Bragg's law for the DFT cell and can differ from measured ones.

Structural model:
abc: 3.681 10.966 3.772
angles: 90.00 90.00 90.00
Space group Pmn2_1 (No. 31)
Inequivalent atoms, fractional coordinates:
Hf 0.000 0.078 0.000 [2 per cell]
Hf 0.000 0.762 0.004 [2 per cell]
Te 0.000 0.358 0.002 [2 per cell]
H 0.000 0.919 0.735 [2 per cell]

The 10 most intense peaks (5° ≤ 2θ ≤ 70°), sorted by position:
hkl, 2theta, d (Å), I/Imax
0 1 0, 8.06, 10.966, 48.3
1 0 1, 34.03, 2.634, 100.0
0 3 1, 34.16, 2.625, 71.3
1 3 0, 34.58, 2.594, 68.4
0 4 1, 40.69, 2.218, 18.7
1 4 0, 41.05, 2.199, 18.1
0 0 2, 48.27, 1.885, 23.8
2 0 0, 49.53, 1.840, 17.6
1 3 2, 60.72, 1.525, 27.5
2 3 1, 61.54, 1.507, 26.4

No. 8
Simulated powder XRD pattern of HfThH for Cu Kα, 1.54184 Å, from a GGA-PBE-relaxed structure.
Peak positions follow from Bragg's law for the DFT cell and can differ from measured ones.

Structural model:
abc: 3.3517 3.3517 5.7194
angles: 90.00 90.00 120.00
Space group P3m1 (No. 156)
Inequivalent atoms, fractional coordinates:
Hf 0.0000 0.0000 0.0000 [1 per cell]
Th 0.3333 0.6667 0.5093 [1 per cell]
H 0.6667 0.3333 0.1793 [1 per cell]

The 10 most intense peaks (5° ≤ 2θ ≤ 70°), sorted by position:
hkl, 2theta, d (Å), I/Imax
1 0 0, 30.80, 2.903, 23.1
0 0 2, 31.28, 2.860, 28.7
1 0 1, 34.66, 2.588, 100.0
0 1 2, 44.47, 2.037, 17.7
1 1 0, 54.78, 1.676, 18.5
1 0 3, 57.87, 1.593, 23.4
2 0 0, 64.17, 1.451, 3.0
1 1 2, 64.44, 1.446, 22.6
0 0 4, 65.25, 1.430, 3.6
0 2 1, 66.46, 1.407, 15.6

No. 9
Simulated powder XRD pattern of HfTiH for Cu Kα, 1.54184 Å, from a GGA-PBE-relaxed structure.
Peak positions follow from Bragg's law for the DFT cell and can differ from measured ones.

Structural model:
abc: 8.937 9.558 10.008
angles: 90.00 90.00 90.00
Space group P2_12_12_1 (No. 19)
Inequivalent atoms, fractional coordinates:
Hf 0.067 0.056 0.079 [4 per cell]
Hf 0.158 0.552 0.178 [4 per cell]
Hf 0.168 0.336 0.942 [4 per cell]
Hf 0.179 0.155 0.670 [4 per cell]
Hf 0.186 0.045 0.381 [4 per cell]
Ti 0.012 0.289 0.234 [4 per cell]
Ti 0.041 0.493 0.699 [4 per cell]
Ti 0.062 0.784 0.986 [4 per cell]
Ti 0.158 0.788 0.678 [4 per cell]
Ti 0.221 0.370 0.402 [4 per cell]
H 0.015 0.418 0.085 [4 per cell]
H 0.046 0.312 0.777 [4 per cell]
H 0.138 0.354 0.587 [4 per cell]
H 0.194 0.729 0.292 [4 per cell]
H 0.240 0.854 0.507 [4 per cell]

The 10 most intense peaks (5° ≤ 2θ ≤ 70°), sorted by position:
hkl, 2theta, d (Å), I/Imax
2 1 0, 21.96, 4.048, 24.6
1 2 1, 22.90, 3.884, 38.1
0 1 3, 28.35, 3.149, 24.0
3 1 1, 32.74, 2.735, 100.0
0 3 2, 33.34, 2.687, 38.9
2 1 3, 34.85, 2.574, 73.8
3 2 1, 36.66, 2.451, 46.6
1 0 4, 37.32, 2.409, 32.4
1 4 0, 39.08, 2.305, 71.8
3 2 2, 39.96, 2.256, 28.9